Diffraction record for Sr3MgCo2S2O5. The XRD peak list is calculated, not measured: it uses a structure optimized by DFT (PBE+U) and Cu Kα (weighted mean of Kα1 and Kα2).
Peak positions follow from Bragg's law for the DFT cell and can differ from measured ones.

Cell and atoms:
```
Sr3MgCo2S2O5
1.0
-1.9422 1.9422 13.9087
1.9422 -1.9422 13.9087
1.9422 1.9422 -13.9087
Sr Mg Co S O
3 1 2 2 5
direct
0.0000 0.0000 0.0000
0.1380 0.1380 0.0000
0.8620 0.8620 0.0000
0.2500 0.7500 0.5000
0.4307 0.4307 0.0000
0.5693 0.5693 0.0000
0.3063 0.3063 0.0000
0.6937 0.6937 0.0000
0.0803 0.5803 0.5000
0.4197 0.9197 0.5000
0.5000 0.5000 0.0000
0.5783 0.0783 0.5000
0.9217 0.4217 0.5000
```

The 10 most intense peaks (2θ from 10° to 90°), sorted by position:
two_theta	I (rel.)
32.23	100
32.60	41
37.17	12
38.08	16
45.66	8
46.77	31
57.22	14
57.94	36
67.43	10
68.30	9